[1]
This entry pairs a crystal structure of SmTiB12 with its theoretical powder X-ray diffraction pattern. Radiation: CuKα. Structure: a PBE-relaxed structure.
No peak broadening, texture or thermal motion is included.

Crystal structure
a b c (Å): 4.1012 4.1012 8.1832
angles (deg): 90.00 90.00 90.00
Space group P4/mmm (No. 123)
Symmetry-distinct sites (fractional):
Sm 0.0000 0.0000 0.0000 [1 per cell]
Ti 0.0000 0.0000 0.5000 [1 per cell]
B 0.1990 0.5000 0.2524 [8 per cell]
B 0.5000 0.5000 0.1007 [2 per cell]
B 0.5000 0.5000 0.4015 [2 per cell]

Most intense lines, 10 to 80 degrees two-theta, in order of rising 2θ:
d_spacing	2θ (°)	I/Imax	hkl
8.183	10.81	40	0 0 1
4.098	21.69	48	1 0 0
3.667	24.28	28	1 0 1
2.898	30.86	100	1 1 0
2.366	38.03	44	1 1 2
1.833	49.75	47	2 1 0
1.673	54.88	22	2 1 2
1.366	68.71	28	2 2 2

---

[2]
This entry pairs a crystal structure of SmUB with its theoretical powder X-ray diffraction pattern. Radiation: CuKα. Structure: a PBE-relaxed structure.
No peak broadening, texture or thermal motion is included.

Crystal structure
a b c (Å): 3.2598 4.9143 15.3853
angles (deg): 90.00 90.00 90.00
Space group Immm (No. 71)
Symmetry-distinct sites (fractional):
Sm 0.0000 0.0000 0.1794 [4 per cell]
U 0.0000 0.2508 0.5000 [4 per cell]
B 0.0000 0.0000 0.3582 [4 per cell]

Most intense lines, 10 to 80 degrees two-theta, in order of rising 2θ:
d_spacing	2θ (°)	I/Imax	hkl
7.693	11.50	68	0 0 2
3.189	27.98	31	1 0 1
2.751	32.55	100	1 0 3
2.564	35.00	53	0 0 6
2.341	38.46	50	0 2 2
1.946	46.67	46	1 2 1
1.654	55.55	41	1 2 5
1.514	61.21	31	0 2 8

---

[3]
This entry pairs a crystal structure of SmVB14 with its theoretical powder X-ray diffraction pattern. Radiation: CuKα. Structure: a PBE-relaxed structure.
No peak broadening, texture or thermal motion is included.

Crystal structure
a b c (Å): 5.8382 10.7927 8.2278
angles (deg): 90.00 90.00 90.00
Space group Imma (No. 74)
Symmetry-distinct sites (fractional):
Sm 0.0000 0.2500 0.1319 [4 per cell]
V 0.2500 0.2500 0.7500 [4 per cell]
B 0.0000 0.0842 0.6687 [8 per cell]
B 0.0000 0.1274 0.8685 [8 per cell]
B 0.0000 0.1675 0.4705 [8 per cell]
B 0.1605 0.0623 0.3387 [16 per cell]
B 0.2484 0.0783 0.5491 [16 per cell]

Most intense lines, 10 to 80 degrees two-theta, in order of rising 2θ:
d_spacing	2θ (°)	I/Imax	hkl
5.396	16.43	100	0 2 0
4.761	18.64	35	1 0 1
3.570	24.94	72	1 2 1
3.211	27.79	88	1 1 2
2.666	33.62	67	2 1 1
2.457	36.58	63	1 3 2
2.255	39.98	45	1 2 3
2.184	41.34	82	2 3 1